# Sm3P2Pt9
Simulated powder diffractogram, Cu Kα (weighted mean of Kα1 and Kα2). Input: a DFT-relaxed cell (PBE, Alexandria).
Lines closer than 0.1° are merged.

Peak list (8 most intense, 2θ from 5° to 70°, by angle)
2θ 33.6, d = 2.666 Å, I 17; 2θ 35.1, d = 2.555 Å, I 100; 2θ 37.6, d = 2.392 Å, I 61; 2θ 40.8, d = 2.212 Å, I 33; 2θ 44.6, d = 2.030 Å, I 24; 2θ 53.9, d = 1.702 Å, I 11; 2θ 59.1, d = 1.564 Å, I 42; 2θ 64.6, d = 1.443 Å, I 12

Cell lengths 6.2510, 6.2510, 15.3468 Å; angles 90.00, 90.00, 120.00 degrees
Space group P6_3/mmc (No. 194)
One atom of each set of equivalent atoms:
Sm 0.0000 0.0000 0.2500 [2 per cell]
Sm 0.3333 0.6667 0.0765 [4 per cell]
P 0.3333 0.6667 0.6502 [4 per cell]
Pt 0.0307 0.5153 0.2500 [6 per cell]
Pt 0.1493 0.2986 0.5771 [12 per cell]



# Sm2YPt
Simulated powder diffractogram, Cu Kα (weighted mean of Kα1 and Kα2). Input: a DFT-relaxed cell (PBE, Alexandria).
Lines closer than 0.1° are merged.

Peak list (8 most intense, 2θ from 5° to 70°, by angle)
2θ 9.2, d = 9.626 Å, I 70; 2θ 29.5, d = 3.028 Å, I 100; 2θ 34.6, d = 2.594 Å, I 25; 2θ 36.7, d = 2.450 Å, I 36; 2θ 43.9, d = 2.063 Å, I 18; 2θ 47.2, d = 1.926 Å, I 36; 2θ 56.6, d = 1.625 Å, I 16; 2θ 61.2, d = 1.514 Å, I 9

Cell lengths 3.8515, 3.8515, 28.8772 Å; angles 90.00, 90.00, 120.00 degrees
Space group R-3m (No. 166, hexagonal axes)
One atom of each set of equivalent atoms:
Sm 0.0000 0.0000 0.2297 [6 per cell]
Y 0.0000 0.0000 0.0000 [3 per cell]
Pt 0.0000 0.0000 0.5000 [3 per cell]



# InIOF2
Simulated powder diffractogram, Cu Kα (weighted mean of Kα1 and Kα2). Input: a DFT-relaxed cell (PBE, Alexandria).
Lines closer than 0.1° are merged.

Peak list (8 most intense, 2θ from 5° to 70°, by angle)
2θ 27.8, d = 3.211 Å, I 100; 2θ 29.3, d = 3.049 Å, I 41; 2θ 37.4, d = 2.405 Å, I 20; 2θ 41.9, d = 2.156 Å, I 28; 2θ 48.2, d = 1.888 Å, I 21; 2θ 51.0, d = 1.790 Å, I 37; 2θ 57.4, d = 1.605 Å, I 21; 2θ 61.7, d = 1.503 Å, I 10

Cell lengths 4.312, 4.312, 4.809 Å; angles 90.00, 90.00, 90.00 degrees
Space group P4/mmm (No. 123)
One atom of each set of equivalent atoms:
In 0.000 0.000 0.000 [1 per cell]
I 0.500 0.500 0.500 [1 per cell]
O 0.000 0.000 0.500 [1 per cell]
F 0.000 0.500 0.000 [2 per cell]



Q: What is the formula in the first record?
A: Sm3P2Pt9